# 1
This entry pairs a crystal structure of Pm5Au3 with its computed powder diffraction line list. Radiation: Cu Kα X-rays. Structure: a DFT-relaxed cell (GGA-PBE, Alexandria).

Atomic structure:
Cell lengths 3.6899, 3.6899, 16.3217 Å; angles 90.00, 90.00, 90.00 degrees
Space group P4/mmm (No. 123)
Unique sites:
Pm: 0.0000 0.0000 0.0000 (multiplicity 1)
Pm: 0.0000 0.0000 0.2245 (multiplicity 2)
Pm: 0.5000 0.5000 0.3880 (multiplicity 2)
Au: 0.0000 0.0000 0.5000 (multiplicity 1)
Au: 0.5000 0.5000 0.1132 (multiplicity 2)

Principal peaks in the range 2θ = 15–90°, low angle first:
(hkl), d [Å], Position (°2θ), intensity
1 0 4, 2.737, 32.72, 100.0
1 1 0, 2.609, 34.37, 50.6
1 0 6, 2.190, 41.23, 8.2
0 0 8, 2.040, 44.40, 7.1
2 0 0, 1.845, 49.40, 18.3
1 1 8, 1.607, 57.33, 13.2
2 1 4, 1.530, 60.52, 34.7
2 0 8, 1.368, 68.58, 7.7
3 0 4, 1.178, 81.78, 7.5
3 1 0, 1.167, 82.70, 8.4



# 2
This entry pairs a crystal structure of Dy3BiPN with its computed powder diffraction line list. Radiation: Cu Kα X-rays. Structure: a DFT-relaxed cell (GGA-PBE, Alexandria).

Atomic structure:
Cell lengths 8.7957, 4.0528, 9.2417 Å; angles 90.00, 103.21, 90.00 degrees
Space group P2_1/m (No. 11)
Unique sites:
Dy: 0.0684 0.2500 0.3523 (multiplicity 2)
Dy: 0.3441 0.2500 0.9822 (multiplicity 2)
Dy: 0.3776 0.7500 0.6623 (multiplicity 2)
Bi: 0.3168 0.7500 0.2809 (multiplicity 2)
P: 0.1513 0.2500 0.6554 (multiplicity 2)
N: 0.4082 0.7500 0.8985 (multiplicity 2)

Principal peaks in the range 2θ = 15–90°, low angle first:
(hkl), d [Å], Position (°2θ), intensity
1 0 1, 5.597, 15.83, 25.7
1 1 1, 3.283, 27.17, 19.2
0 0 3, 2.999, 29.79, 42.6
1 1 -2, 2.987, 29.91, 31.5
2 1 -1, 2.939, 30.42, 100.0
3 0 0, 2.854, 31.34, 23.6
1 1 2, 2.713, 33.02, 15.3
2 1 2, 2.303, 39.12, 34.5
0 2 0, 2.026, 44.72, 20.9
0 2 3, 1.679, 54.65, 18.3



# 3
This entry pairs a crystal structure of CaYTl6 with its computed powder diffraction line list. Radiation: Cu Kα X-rays. Structure: a DFT-relaxed cell (GGA-PBE, Alexandria).

Atomic structure:
Cell lengths 4.7990, 4.7990, 9.6737 Å; angles 90.00, 90.00, 90.00 degrees
Space group P4/mmm (No. 123)
Unique sites:
Ca: 0.0000 0.0000 0.0000 (multiplicity 1)
Y: 0.0000 0.0000 0.5000 (multiplicity 1)
Tl: 0.0000 0.5000 0.2527 (multiplicity 4)
Tl: 0.5000 0.5000 0.0000 (multiplicity 1)
Tl: 0.5000 0.5000 0.5000 (multiplicity 1)

Principal peaks in the range 2θ = 15–90°, low angle first:
(hkl), d [Å], Position (°2θ), intensity
1 0 0, 4.799, 18.49, 7.4
1 1 2, 2.778, 32.22, 100.0
0 0 4, 2.418, 37.18, 17.0
2 0 0, 2.399, 37.48, 33.4
2 0 4, 1.703, 53.82, 23.8
2 2 0, 1.697, 54.05, 11.8
1 1 6, 1.456, 63.93, 14.2
3 1 2, 1.448, 64.34, 27.9
2 2 4, 1.389, 67.43, 12.1
3 1 6, 1.105, 88.48, 12.2



# 4
This entry pairs a crystal structure of Pm12SmDy7 with its computed powder diffraction line list. Radiation: Cu Kα X-rays. Structure: a DFT-relaxed cell (GGA-PBE, Alexandria).

Atomic structure:
Cell lengths 13.4052, 13.4052, 12.8952 Å; angles 90.00, 90.00, 120.00 degrees
Space group R-3m (No. 166, hexagonal axes)
Unique sites:
Pm: 0.0000 0.2619 0.0000 (multiplicity 18)
Pm: 0.0888 0.1776 0.7683 (multiplicity 18)
Sm: 0.0000 0.0000 0.5000 (multiplicity 3)
Dy: 0.0000 0.0000 0.0000 (multiplicity 3)
Dy: 0.0438 0.5219 0.1167 (multiplicity 18)

Principal peaks in the range 2θ = 15–90°, low angle first:
(hkl), d [Å], Position (°2θ), intensity
1 0 4, 3.106, 28.74, 37.1
0 3 3, 2.878, 31.07, 100.0
4 0 1, 2.831, 31.60, 67.3
0 4 2, 2.646, 33.88, 36.3
3 2 1, 2.608, 34.38, 13.6
3 0 6, 1.879, 48.45, 18.7
4 4 0, 1.676, 54.78, 15.7
4 3 4, 1.643, 55.97, 26.0
0 7 2, 1.606, 57.37, 13.9
3 4 5, 1.534, 60.33, 10.0



What did the third record say?
This entry pairs a crystal structure of CaYTl6 with its computed powder diffraction line list. Radiation: Cu Kα X-rays. Structure: a DFT-relaxed cell (GGA-PBE, Alexandria).

Atomic structure:
Cell lengths 4.7990, 4.7990, 9.6737 Å; angles 90.00, 90.00, 90.00 degrees
Space group P4/mmm (No. 123)
Unique sites:
Ca: 0.0000 0.0000 0.0000 (multiplicity 1)
Y: 0.0000 0.0000 0.5000 (multiplicity 1)
Tl: 0.0000 0.5000 0.2527 (multiplicity 4)
Tl: 0.5000 0.5000 0.0000 (multiplicity 1)
Tl: 0.5000 0.5000 0.5000 (multiplicity 1)

Principal peaks in the range 2θ = 15–90°, low angle first:
(hkl), d [Å], Position (°2θ), intensity
1 0 0, 4.799, 18.49, 7.4
1 1 2, 2.778, 32.22, 100.0
0 0 4, 2.418, 37.18, 17.0
2 0 0, 2.399, 37.48, 33.4
2 0 4, 1.703, 53.82, 23.8
2 2 0, 1.697, 54.05, 11.8
1 1 6, 1.456, 63.93, 14.2
3 1 2, 1.448, 64.34, 27.9
2 2 4, 1.389, 67.43, 12.1
3 1 6, 1.105, 88.48, 12.2